Theoretical XRD peak list
Compound: PrNd6Cd3
Radiation: λ = 1.5418 Å (Cu Kα)
Structure: a DFT-relaxed cell (PBE, Alexandria)

Structural model:
a b c (Å): 12.9839 14.2297 6.9380
angles (deg): 90.00 90.00 90.00
Space group Cmc2_1 (No. 36)
Asymmetric unit:
1 Pr 0.0000 0.1978 0.0000 x4
2 Nd 0.0000 0.1995 0.4831 x4
3 Nd 0.0000 0.4234 0.7896 x4
4 Nd 0.2165 0.0273 0.4912 x8
5 Nd 0.2253 0.2865 0.6602 x8
6 Cd 0.0000 0.0026 0.7401 x4
7 Cd 0.1134 0.3784 0.2715 x8

The 6 most intense peaks (2θ = 15–90°), by angle:
2θ/deg	Rel. int.	index
27.5	32	4 0 0
31.8	100	2 2 2
32.2	31	1 5 0
32.7	23	1 3 2
33.0	27	4 2 1
37.5	35	4 4 0